(1)
Starting from DFT lattice parameters and positions (PBE), the XRD peak list of La2CeCl8 was calculated for Cu Kα (λ = 1.5418 Å).
No peak broadening, texture or thermal motion is included.

```
11
Lattice="4.333 -6.342 0.000 4.333 6.342 0.000 -1.504 0.000 5.337" Properties=species:S:1:pos:R:3 pbc="T T T"
La 4.333 4.036 0.000
La 4.333 -4.036 0.000
Ce 3.581 0.000 2.669
Cl 0.727 0.000 1.723
Cl 1.283 1.627 4.875
Cl 3.581 2.935 2.669
Cl 1.283 -1.627 4.875
Cl 5.879 1.627 0.462
Cl 3.581 -2.935 2.669
Cl 5.879 -1.627 0.462
Cl 6.436 0.000 3.614
```

Most intense lines, 15° ≤ 2θ ≤ 90°, low angle first:
2θ/deg	I_rel
18.51	54
21.30	57
21.76	68
23.59	57
32.82	100
38.76	54


(2)
Starting from DFT lattice parameters and positions (PBE), the XRD peak list of La2Ce4Sn3Cl2 was calculated for Cu Kα (λ = 1.5418 Å).
No peak broadening, texture or thermal motion is included.

```
11
Lattice="-2.645 2.645 12.278 2.645 -2.645 12.278 2.645 2.645 -12.278" Properties=species:S:1:pos:R:3 pbc="T T T"
La 0.000 0.000 4.862
La 0.000 0.000 19.694
Ce 2.645 0.000 2.074
Ce 2.645 0.000 10.204
Ce 0.000 2.645 2.074
Ce 0.000 2.645 10.204
Sn 0.000 0.000 8.134
Sn 0.000 0.000 12.278
Sn 0.000 0.000 16.422
Cl 0.000 0.000 1.839
Cl 0.000 0.000 22.717
```

Most intense lines, 15° ≤ 2θ ≤ 90°, low angle first:
2θ/deg	I_rel
24.88	44
30.58	32
32.43	100
33.89	78
48.69	28
59.72	36


(3)
Starting from DFT lattice parameters and positions (PBE), the XRD peak list of LaCeTcCl was calculated for Cu Kα (λ = 1.5418 Å).
No peak broadening, texture or thermal motion is included.

```
4
Lattice="3.578 0.000 0.000 1.177 3.392 0.000 0.074 0.415 8.305" Properties=species:S:1:pos:R:3 pbc="T T T"
La 0.000 0.000 0.000
Ce 3.553 0.346 4.720
Tc 2.370 2.050 6.253
Cl 1.682 1.193 2.285
```

Most intense lines, 15° ≤ 2θ ≤ 90°, low angle first:
2θ/deg	I_rel
30.63	100
33.29	73
34.07	75
34.34	81
35.01	73
43.59	71


(4)
Starting from DFT lattice parameters and positions (PBE), the XRD peak list of LiCeSeCl was calculated for Cu Kα (λ = 1.5418 Å).
No peak broadening, texture or thermal motion is included.

```
8
Lattice="2.054 1.186 13.903 -2.054 1.186 13.903 0.000 -2.372 13.903" Properties=species:S:1:pos:R:3 pbc="T T T"
Li 0.000 0.000 7.857
Li 0.000 0.000 33.851
Ce 0.000 0.000 17.224
Ce 0.000 0.000 24.484
Se 0.000 0.000 5.209
Se 0.000 0.000 36.499
Cl 0.000 0.000 12.230
Cl 0.000 0.000 29.478
```

Most intense lines, 15° ≤ 2θ ≤ 90°, low angle first:
2θ/deg	I_rel
26.47	68
29.24	100
33.10	33
34.57	54
44.09	56
44.88	42


(5)
Starting from DFT lattice parameters and positions (PBE), the XRD peak list of LiCeTlCl6 was calculated for Cu Kα (λ = 1.5418 Å).
No peak broadening, texture or thermal motion is included.

```
18
Lattice="6.843 0.000 0.000 -3.421 5.926 0.000 0.000 0.000 14.052" Properties=species:S:1:pos:R:3 pbc="T T T"
Li 0.000 3.951 3.513
Li 3.421 1.975 10.539
Ce 0.000 3.951 10.539
Ce 3.421 1.975 3.513
Tl 0.000 0.000 0.000
Tl 0.000 0.000 7.026
Cl -1.253 2.202 2.018
Cl -2.141 3.740 5.008
Cl 1.253 2.202 5.008
Cl -0.888 5.910 2.018
Cl 2.533 0.016 9.044
Cl 1.280 2.186 12.034
Cl 2.141 3.740 2.018
Cl 0.888 5.910 5.008
Cl 4.310 0.016 12.034
Cl 2.169 3.724 9.044
Cl 5.563 2.186 9.044
Cl 4.674 3.724 12.034
```

Most intense lines, 15° ≤ 2θ ≤ 90°, low angle first:
2θ/deg	I_rel
16.23	26
19.60	100
32.80	24
36.66	52
42.35	28
45.94	19


(6)
Starting from DFT lattice parameters and positions (PBE), the XRD peak list of Li2CeYCl8 was calculated for Cu Kα (λ = 1.5418 Å).
No peak broadening, texture or thermal motion is included.

```
12
Lattice="6.300 0.000 0.000 0.000 8.183 0.000 -0.390 0.000 6.344" Properties=species:S:1:pos:R:3 pbc="T T T"
Li 0.000 1.977 0.000
Li 0.000 6.206 0.000
Ce 2.955 4.092 3.172
Y 2.955 0.000 3.172
Cl 1.155 4.092 1.150
Cl 1.199 0.000 1.209
Cl 1.594 1.960 4.380
Cl 1.594 6.223 4.380
Cl 4.316 1.960 1.964
Cl 4.316 6.223 1.964
Cl 4.711 0.000 5.135
Cl 4.755 4.092 5.193
```

Most intense lines, 15° ≤ 2θ ≤ 90°, low angle first:
2θ/deg	I_rel
19.26	45
20.49	41
25.95	23
29.18	100
32.38	28
48.46	24


(7)
Starting from DFT lattice parameters and positions (PBE), the XRD peak list of CeMo2Se4Cl2 was calculated for Cu Kα (λ = 1.5418 Å).
No peak broadening, texture or thermal motion is included.

```
9
Lattice="3.432 0.000 0.000 -1.716 2.972 0.000 0.000 0.000 22.393" Properties=species:S:1:pos:R:3 pbc="T T T"
Ce 0.000 0.000 0.000
Mo 0.000 0.000 14.574
Mo 1.716 0.991 7.480
Se 0.000 0.000 5.843
Se 0.000 0.000 9.117
Se 1.716 0.991 12.936
Se 1.716 0.991 16.211
Cl 1.716 0.991 1.995
Cl 1.716 0.991 20.398
```

Most intense lines, 15° ≤ 2θ ≤ 90°, low angle first:
2θ/deg	I_rel
30.07	63
32.43	40
36.28	100
41.47	32
44.46	73
53.40	47